This entry pairs a crystal structure of Fe19Co5O32 with its simulated XRD peak list. Radiation: copper Kα. Structure: a DFT-relaxed cell (PBE+U, Alexandria).

The 12 most intense peaks (2θ from 10° to 90°), by intensity:
2θ = 34.73°, rel. 100; 2θ = 55.74°, rel. 31; 2θ = 29.49°, rel. 28; 2θ = 61.13°, rel. 23; 2θ = 61.26°, rel. 23; 2θ = 42.19°, rel. 21; 2θ = 17.93°, rel. 10; 2θ = 52.28°, rel. 7; 2θ = 36.30°, rel. 7; 2θ = 87.43°, rel. 6; 2θ = 72.25°, rel. 6; 2θ = 87.33°, rel. 6

Atomic structure:
abc: 8.571 8.571 10.475
angles: 114.00 114.00 90.15
Fractional positions:
Fe: 0.000 0.000 0.000
Fe: 0.062 0.062 0.379
Fe: 0.126 0.375 0.253
Fe: 0.129 0.375 0.754
Fe: 0.188 0.688 0.122
Fe: 0.249 0.751 0.500
Fe: 0.312 0.812 0.878
Fe: 0.375 0.126 0.253
Fe: 0.375 0.129 0.754
Fe: 0.440 0.440 0.627
Fe: 0.560 0.560 0.373
Fe: 0.625 0.871 0.246
Fe: 0.625 0.874 0.747
Fe: 0.688 0.188 0.122
Fe: 0.751 0.249 0.500
Fe: 0.812 0.312 0.878
Fe: 0.871 0.625 0.246
Fe: 0.874 0.625 0.747
Fe: 0.938 0.938 0.621
Co: 0.000 0.500 0.500
Co: 0.251 0.251 0.002
Co: 0.500 0.000 0.500
Co: 0.500 0.500 0.000
Co: 0.749 0.749 0.998
O: 0.004 0.739 0.485
O: 0.005 0.243 0.008
O: 0.117 0.616 0.751
O: 0.121 0.622 0.255
O: 0.127 0.127 0.240
O: 0.138 0.138 0.758
O: 0.233 0.508 0.484
O: 0.243 0.005 0.008
O: 0.247 0.492 0.993
O: 0.261 0.996 0.515
O: 0.355 0.355 0.244
O: 0.363 0.363 0.756
O: 0.378 0.879 0.745
O: 0.384 0.883 0.249
O: 0.492 0.247 0.993
O: 0.492 0.767 0.516
O: 0.508 0.233 0.484
O: 0.508 0.753 0.007
O: 0.616 0.117 0.751
O: 0.622 0.121 0.255
O: 0.637 0.637 0.244
O: 0.645 0.645 0.756
O: 0.739 0.004 0.485
O: 0.753 0.508 0.007
O: 0.757 0.995 0.992
O: 0.767 0.492 0.516
O: 0.862 0.862 0.242
O: 0.873 0.873 0.760
O: 0.879 0.378 0.745
O: 0.883 0.384 0.249
O: 0.995 0.757 0.992
O: 0.996 0.261 0.515